# Li2Ti3FeO8
Simulated powder diffractogram, copper Kα. Input: a GGA+U-relaxed structure.
Lines closer than 0.1° are merged.

The 10 most intense peaks (5° ≤ 2θ ≤ 70°), in order of rising 2θ:
- 4.896 Å, I = 100
- 4.227 Å, I = 29
- 3.005 Å, I = 31
- 2.570 Å, I = 47
- 2.552 Å, I = 96
- 2.135 Å, I = 18
- 2.114 Å, I = 35
- 1.642 Å, I = 19
- 1.627 Å, I = 35
- 1.502 Å, I = 48

Lattice parameters (Å, degrees): 5.9731 5.9829 6.0069 119.84 119.77 90.04
Atoms (fractional coordinates):
Li1 0.0000 0.0000 0.0000
Li2 0.1462 0.3826 0.7657
Ti1 0.4986 0.0023 0.4985
Ti2 0.4987 0.4952 0.4985
Ti3 0.4995 0.0035 0.0078
Fe1 0.8546 0.6186 0.2383
O1 0.2791 0.7610 0.5224
O2 0.2921 0.2502 0.5003
O3 0.2952 0.7933 0.0451
O4 0.2958 0.2521 0.0455
O5 0.7180 0.2086 0.9590
O6 0.7177 0.7507 0.9595
O7 0.7215 0.7574 0.5137
O8 0.7229 0.2401 0.4799

# MgCr4Pb4O16
Simulated powder diffractogram, copper Kα. Input: a GGA+U-relaxed structure.
Lines closer than 0.1° are merged.

The 10 most intense peaks (5° ≤ 2θ ≤ 70°), in order of rising 2θ:
- 5.148 Å, I = 84
- 4.588 Å, I = 37
- 3.677 Å, I = 74
- 3.393 Å, I = 100
- 3.364 Å, I = 77
- 3.182 Å, I = 56
- 3.166 Å, I = 83
- 2.881 Å, I = 51
- 2.382 Å, I = 32
- 2.049 Å, I = 32

Lattice parameters (Å, degrees): 7.1793 7.5507 7.6086 90.56 90.14 103.11
Atoms (fractional coordinates):
Mg1 0.0000 0.0000 0.0000
Cr1 0.2334 0.1980 0.7402
Cr2 0.4686 0.7796 0.4211
Cr3 0.7336 0.6572 0.9046
Cr4 0.9658 0.2732 0.2327
Pb1 0.2681 0.6562 0.9659
Pb2 0.4149 0.2460 0.2239
Pb3 0.7429 0.1989 0.6814
Pb4 0.9678 0.8112 0.4746
O1 0.0131 0.0222 0.7151
O2 0.0693 0.0834 0.2762
O3 0.1593 0.3905 0.7651
O4 0.1798 0.4308 0.1810
O5 0.2788 0.1127 0.9497
O6 0.2996 0.7563 0.5736
O7 0.3807 0.8513 0.2367
O8 0.4059 0.1866 0.5938
O9 0.5326 0.5886 0.3826
O10 0.5593 0.4967 0.9885
O11 0.6430 0.8351 0.8707
O12 0.6736 0.9333 0.4839
O13 0.8075 0.5846 0.7170
O14 0.8446 0.1954 0.0443
O15 0.8490 0.3330 0.4061
O16 0.9305 0.7294 0.0392

# Mn5NiB2O10
Simulated powder diffractogram, copper Kα. Input: a GGA+U-relaxed structure.
Lines closer than 0.1° are merged.

The 10 most intense peaks (5° ≤ 2θ ≤ 70°), in order of rising 2θ:
- 5.348 Å, I = 47
- 2.674 Å, I = 100
- 2.589 Å, I = 72
- 2.427 Å, I = 25
- 2.180 Å, I = 19
- 2.093 Å, I = 28
- 1.968 Å, I = 32
- 1.628 Å, I = 27
- 1.564 Å, I = 31
- 1.544 Å, I = 25

Lattice parameters (Å, degrees): 3.0871 9.5110 12.9343 90.00 90.00 90.00
Atoms (fractional coordinates):
Mn1 0.0000 0.0041 0.0000
Mn2 0.0000 0.2526 0.3843
Mn3 0.0000 0.4896 0.7642
Mn4 0.0000 0.5104 0.2642
Mn5 0.0000 0.7474 0.8843
Mn6 0.0000 0.9959 0.5000
Mn7 0.5000 0.2472 0.1586
Mn8 0.5000 0.2505 0.8823
Mn9 0.5000 0.7495 0.3823
Mn10 0.5000 0.7528 0.6586
Ni1 0.5000 0.2502 0.6053
Ni2 0.5000 0.7498 0.1053
B1 0.0000 0.0282 0.7439
B2 0.0000 0.4786 0.0229
B3 0.0000 0.5214 0.5229
B4 0.0000 0.9718 0.2439
O1 0.0000 0.0973 0.8379
O2 0.0000 0.1051 0.6514
O3 0.0000 0.1194 0.2416
O4 0.0000 0.3737 0.5279
O5 0.0000 0.4018 0.1147
O6 0.0000 0.4083 0.9292
O7 0.0000 0.5917 0.4292
O8 0.0000 0.5982 0.6147
O9 0.0000 0.6263 0.0279
O10 0.0000 0.8806 0.7416
O11 0.0000 0.8949 0.1514
O12 0.0000 0.9027 0.3379
O13 0.5000 0.1327 0.0247
O14 0.5000 0.1346 0.4661
O15 0.5000 0.3625 0.7379
O16 0.5000 0.3713 0.3022
O17 0.5000 0.6287 0.8022
O18 0.5000 0.6375 0.2379
O19 0.5000 0.8654 0.9661
O20 0.5000 0.8673 0.5247

# Ba4CaFe4Cu2F28
Simulated powder diffractogram, copper Kα. Input: a GGA+U-relaxed structure.
Lines closer than 0.1° are merged.

The 10 most intense peaks (5° ≤ 2θ ≤ 70°), in order of rising 2θ:
- 4.230 Å, I = 31
- 3.798 Å, I = 30
- 3.577 Å, I = 100
- 3.364 Å, I = 20
- 3.247 Å, I = 30
- 3.197 Å, I = 21
- 3.054 Å, I = 34
- 3.041 Å, I = 27
- 2.264 Å, I = 19
- 2.220 Å, I = 23

Lattice parameters (Å, degrees): 7.5980 7.5980 15.1948 90.63 90.63 42.22
Atoms (fractional coordinates):
Ba1 0.0610 0.3209 0.8655
Ba2 0.1848 0.1848 0.3836
Ba3 0.6791 0.9390 0.1345
Ba4 0.8152 0.8152 0.6164
Ca1 0.3491 0.6509 0.0000
Fe1 0.0295 0.2112 0.1228
Fe2 0.0783 0.1603 0.6199
Fe3 0.7888 0.9705 0.8772
Fe4 0.8397 0.9217 0.3801
Cu1 0.4407 0.5583 0.2495
Cu2 0.4417 0.5593 0.7505
F1 0.0001 0.9822 0.0953
F2 0.0178 0.9999 0.9047
F3 0.0490 0.6754 0.7971
F4 0.0852 0.4148 0.1491
F5 0.0946 0.6464 0.4585
F6 0.0955 0.7493 0.2667
F7 0.2507 0.9045 0.7333
F8 0.2888 0.2034 0.6669
F9 0.2904 0.0277 0.0264
F10 0.3246 0.9510 0.2029
F11 0.3377 0.5578 0.6461
F12 0.3536 0.9054 0.5415
F13 0.4411 0.4552 0.1391
F14 0.4422 0.6623 0.3539
F15 0.5221 0.2461 0.9610
F16 0.5448 0.5589 0.8609
F17 0.5576 0.1765 0.2906
F18 0.5714 0.0773 0.4669
F19 0.5852 0.9148 0.8509
F20 0.6282 0.2115 0.7717
F21 0.7539 0.4779 0.0390
F22 0.7885 0.3718 0.2283
F23 0.7966 0.7112 0.3331
F24 0.8235 0.4424 0.7094
F25 0.8762 0.1102 0.6012
F26 0.8898 0.1238 0.3988
F27 0.9227 0.4286 0.5331
F28 0.9723 0.7096 0.9736

# Ca6La2Mn7CrO24
Simulated powder diffractogram, copper Kα. Input: a GGA+U-relaxed structure.
Lines closer than 0.1° are merged.

The 10 most intense peaks (5° ≤ 2θ ≤ 70°), in order of rising 2θ:
- 5.431 Å, I = 41
- 2.726 Å, I = 25
- 2.714 Å, I = 100
- 2.709 Å, I = 25
- 1.924 Å, I = 37
- 1.913 Å, I = 18
- 1.569 Å, I = 20
- 1.567 Å, I = 17
- 1.564 Å, I = 16
- 1.358 Å, I = 13

Lattice parameters (Å, degrees): 7.6526 7.6900 7.6985 89.78 89.84 89.88
Atoms (fractional coordinates):
Ca1 0.2491 0.2266 0.2357
Ca2 0.2488 0.2372 0.7275
Ca3 0.2500 0.7393 0.2305
Ca4 0.7500 0.2607 0.7695
Ca5 0.7512 0.7628 0.2725
Ca6 0.7509 0.7734 0.7643
La1 0.2492 0.7349 0.7406
La2 0.7508 0.2651 0.2594
Mn1 0.0000 0.0000 0.0000
Mn2 0.0000 0.0000 0.5000
Mn3 0.0000 0.5000 0.0000
Mn4 0.5000 0.0000 0.0000
Mn5 0.5000 0.0000 0.5000
Mn6 0.5000 0.5000 0.0000
Mn7 0.5000 0.5000 0.5000
Cr1 0.0000 0.5000 0.5000
O1 0.0353 0.7504 0.9713
O2 0.0391 0.9695 0.2494
O3 0.0398 0.2453 0.4637
O4 0.0476 0.4701 0.7555
O5 0.2499 0.0380 0.9628
O6 0.2506 0.4755 0.0520
O7 0.2506 0.9709 0.5415
O8 0.2554 0.5520 0.4684
O9 0.4527 0.4711 0.7505
O10 0.4577 0.2503 0.4654
O11 0.4609 0.9721 0.2502
O12 0.4646 0.7497 0.9729
O13 0.5354 0.2503 0.0271
O14 0.5391 0.0279 0.7498
O15 0.5423 0.7497 0.5346
O16 0.5473 0.5289 0.2495
O17 0.7446 0.4480 0.5316
O18 0.7494 0.0291 0.4585
O19 0.7494 0.5245 0.9480
O20 0.7501 0.9620 0.0372
O21 0.9524 0.5299 0.2445
O22 0.9602 0.7547 0.5363
O23 0.9609 0.0305 0.7506
O24 0.9647 0.2496 0.0287

# MgV4O5F7
Simulated powder diffractogram, copper Kα. Input: a GGA+U-relaxed structure.
Lines closer than 0.1° are merged.

The 10 most intense peaks (5° ≤ 2θ ≤ 70°), in order of rising 2θ:
- 3.862 Å, I = 100
- 3.752 Å, I = 92
- 3.638 Å, I = 96
- 2.751 Å, I = 23
- 2.714 Å, I = 23
- 2.678 Å, I = 25
- 2.203 Å, I = 21
- 1.931 Å, I = 26
- 1.876 Å, I = 22
- 1.819 Å, I = 21

Lattice parameters (Å, degrees): 5.1031 5.3703 7.7405 93.79 90.14 91.75
Atoms (fractional coordinates):
Mg1 0.0000 0.0000 0.0000
V1 0.0071 0.4183 0.7628
V2 0.0284 0.3963 0.2970
V3 0.4772 0.9026 0.2960
V4 0.4971 0.9013 0.7837
O1 0.0893 0.3953 0.5534
O2 0.1792 0.0846 0.2255
O3 0.1902 0.7297 0.8518
O4 0.2847 0.5935 0.2590
O5 0.7826 0.0980 0.7746
F1 0.2851 0.2074 0.8593
F2 0.3807 0.9207 0.5513
F3 0.6293 0.8841 0.0427
F4 0.6771 0.5895 0.7371
F5 0.6935 0.2102 0.3427
F6 0.7892 0.6973 0.3469
F7 0.9049 0.3797 0.0436

# TiFe3Cu2P6O24
Simulated powder diffractogram, copper Kα. Input: a GGA+U-relaxed structure.
Lines closer than 0.1° are merged.

The 10 most intense peaks (5° ≤ 2θ ≤ 70°), in order of rising 2θ:
- 4.311 Å, I = 95
- 3.663 Å, I = 100
- 3.515 Å, I = 21
- 2.705 Å, I = 79
- 2.489 Å, I = 41
- 1.914 Å, I = 34
- 1.831 Å, I = 30
- 1.629 Å, I = 27
- 1.621 Å, I = 17
- 1.475 Å, I = 22

Lattice parameters (Å, degrees): 8.5459 8.5459 8.5459 60.59 60.59 60.59
Atoms (fractional coordinates):
Ti1 0.0000 0.0000 0.0000
Fe1 0.2882 0.2882 0.2882
Fe2 0.4999 0.4999 0.4999
Fe3 0.7878 0.7878 0.7878
Cu1 0.1445 0.1445 0.1445
Cu2 0.6443 0.6443 0.6443
P1 0.0994 0.6871 0.3945
P2 0.1883 0.5985 0.8931
P3 0.3945 0.0994 0.6871
P4 0.5985 0.8931 0.1883
P5 0.6871 0.3945 0.0994
P6 0.8931 0.1883 0.5985
O1 0.0319 0.6382 0.8281
O2 0.0554 0.2039 0.4030
O3 0.0823 0.8849 0.2305
O4 0.1386 0.5311 0.3288
O5 0.1388 0.7616 0.9598
O6 0.2039 0.4030 0.0554
O7 0.2305 0.0823 0.8849
O8 0.2567 0.6505 0.4570
O9 0.3288 0.1386 0.5311
O10 0.3840 0.5914 0.7311
O11 0.4030 0.0554 0.2039
O12 0.4570 0.2567 0.6505
O13 0.5311 0.3288 0.1386
O14 0.5556 0.9015 0.7033
O15 0.5914 0.7311 0.3840
O16 0.6382 0.8281 0.0319
O17 0.6505 0.4570 0.2567
O18 0.7033 0.5556 0.9015
O19 0.7311 0.3840 0.5914
O20 0.7616 0.9598 0.1388
O21 0.8281 0.0319 0.6382
O22 0.8849 0.2305 0.0823
O23 0.9015 0.7033 0.5556
O24 0.9598 0.1388 0.7616

# LiMn5O3F5
Simulated powder diffractogram, copper Kα. Input: a GGA+U-relaxed structure.
Lines closer than 0.1° are merged.

The 10 most intense peaks (5° ≤ 2θ ≤ 70°), in order of rising 2θ:
- 5.255 Å, I = 84
- 3.227 Å, I = 10
- 2.749 Å, I = 100
- 2.739 Å, I = 31
- 2.633 Å, I = 14
- 2.277 Å, I = 75
- 1.754 Å, I = 39
- 1.614 Å, I = 41
- 1.607 Å, I = 35
- 1.391 Å, I = 11

Lattice parameters (Å, degrees): 6.4273 6.4273 6.4273 60.28 60.28 60.28
Atoms (fractional coordinates):
Li1 0.0000 0.0000 0.0000
Mn1 0.3748 0.3748 0.8633
Mn2 0.3748 0.8633 0.3748
Mn3 0.3851 0.3851 0.3851
Mn4 0.7696 0.7696 0.7696
Mn5 0.8633 0.3748 0.3748
O1 0.1584 0.6217 0.6217
O2 0.6217 0.1584 0.6217
O3 0.6217 0.6217 0.1584
F1 0.1290 0.1290 0.1290
F2 0.1356 0.1356 0.5979
F3 0.1356 0.5979 0.1356
F4 0.5979 0.1356 0.1356
F5 0.6280 0.6280 0.6280